This entry pairs a crystal structure of NaMn3V4O12 with its simulated powder X-ray diffraction pattern. Radiation: CuKα. Structure: a DFT-relaxed cell (GGA+U, the Materials Project).
Peak positions follow from Bragg's law for the DFT cell and can differ from measured ones.

Top 10 peaks for 10 to 80 degrees two-theta, by angle:
h k l  Position (°2θ)  I (rel.)
0 2 -2  33.75  100
0 2 0  33.90  66
2 -2 0  33.99  32
2 -2 2  48.43  20
2 2 -2  48.53  20
-2 2 2  48.86  20
2 0 2  60.26  18
2 2 0  60.41  18
4 0 -2  60.57  50
2 -4 0  60.87  17

Structural model:
```
data_NaMn3V4O12
_chemical_formula_sum 'Na1 Mn3 V4 O12'
_symmetry_space_group_name_H-M 'P -1'
_symmetry_Int_Tables_number 2
_cell_length_a 6.472
_cell_length_b 6.474
_cell_length_c 6.504
_cell_angle_alpha 109.86
_cell_angle_beta 109.18
_cell_angle_gamma 109.16
loop_
_symmetry_equiv_pos_as_xyz
'x,y,z'
'-x,-y,-z'
loop_
_atom_site_label
_atom_site_fract_x
_atom_site_fract_y
_atom_site_fract_z
Na1 0.000 0.000 0.000
Mn1 0.000 0.500 0.500
Mn2 0.500 0.000 0.500
Mn3 0.500 0.500 0.000
V1 0.000 0.000 0.500
V2 0.000 0.500 0.000
V3 0.500 0.000 0.000
V4 0.500 0.500 0.500
O1 0.129 0.826 0.317
O2 0.182 0.309 0.490
O3 0.182 0.686 0.870
O4 0.308 0.130 0.811
O5 0.317 0.495 0.188
O6 0.488 0.186 0.313
```

---

This entry pairs a crystal structure of Li9Mn2Co5O16 with its simulated powder X-ray diffraction pattern. Radiation: CuKα. Structure: a DFT-relaxed cell (GGA+U, the Materials Project).
Peak positions follow from Bragg's law for the DFT cell and can differ from measured ones.

Top 10 peaks for 10 to 80 degrees two-theta, by angle:
h k l  Position (°2θ)  I (rel.)
1 0 -2  18.22  100
3 0 2  35.66  13
2 1 0  36.00  26
2 0 4  43.11  26
3 1 -2  43.54  55
0 1 4  47.43  13
4 1 -4  57.29  10
1 1 -6  62.63  14
5 1 2  63.24  13
0 2 0  63.80  8

Structural model:
```
data_Li9Mn2Co5O16
_chemical_formula_sum 'Li9 Mn2 Co5 O16'
_symmetry_space_group_name_H-M 'P 1 2/m 1'
_symmetry_Int_Tables_number 10
_cell_length_a 9.781
_cell_length_b 2.918
_cell_length_c 10.334
_cell_angle_alpha 90.00
_cell_angle_beta 100.27
_cell_angle_gamma 90.00
loop_
_symmetry_equiv_pos_as_xyz
'x,y,z'
'-x,-y,-z'
'-x,y,-z'
'x,-y,z'
loop_
_atom_site_label
_atom_site_fract_x
_atom_site_fract_y
_atom_site_fract_z
Li1 0.000 0.000 0.000
Li2 0.000 0.000 0.500
Li3 0.257 0.500 0.122
Li4 0.258 0.500 0.632
Li5 0.499 0.000 0.238
Li6 0.500 0.500 0.000
Mn1 0.005 0.500 0.751
Co1 0.254 0.000 0.377
Co2 0.271 0.000 0.892
Co3 0.500 0.500 0.500
O1 0.110 0.000 0.196
O2 0.110 0.000 0.692
O3 0.121 0.500 0.918
O4 0.125 0.500 0.422
O5 0.365 0.000 0.058
O6 0.365 0.500 0.320
O7 0.365 0.500 0.814
O8 0.380 0.000 0.554
```

---

This entry pairs a crystal structure of Cr2CoNi3P6O24 with its simulated powder X-ray diffraction pattern. Radiation: CuKα. Structure: a DFT-relaxed cell (GGA+U, the Materials Project).
Peak positions follow from Bragg's law for the DFT cell and can differ from measured ones.

Top 10 peaks for 10 to 80 degrees two-theta, by angle:
h k l  Position (°2θ)  I (rel.)
1 1 0  20.68  97
1 0 4  21.31  19
2 -1 3  24.61  100
1 1 6  33.90  64
3 0 0  36.22  46
1 2 8  48.54  36
2 2 6  50.45  25
4 1 0  56.69  27
3 1 8  57.78  19
1 4 6  63.67  21

Structural model:
```
data_Cr2CoNi3P6O24
_chemical_formula_sum 'Cr6 Co3 Ni9 P18 O72'
_symmetry_space_group_name_H-M 'R 3'
_symmetry_Int_Tables_number 146
_symmetry_space_group_name_Hall 'R 3'
_cell_length_a 8.5914
_cell_length_b 8.5914
_cell_length_c 20.1341
_cell_angle_alpha 90.00
_cell_angle_beta 90.00
_cell_angle_gamma 120.00
loop_
_atom_site_label
_atom_site_fract_x
_atom_site_fract_y
_atom_site_fract_z
Cr1 0.0000 0.0000 0.0000
Cr2 0.0000 0.0000 0.4997
Co1 0.0000 0.0000 0.8597
Ni1 0.0000 0.0000 0.1414
Ni2 0.0000 0.0000 0.3572
Ni3 0.0000 0.0000 0.6413
P1 0.9995 0.7014 0.2480
P2 0.0408 0.3731 0.4174
O1 0.0082 0.1794 0.4309
O2 0.0104 0.1984 0.8137
O3 0.0096 0.7986 0.3118
O4 0.0108 0.8391 0.9259
O5 0.1381 0.6813 0.8522
O6 0.1440 0.4566 0.3538
O7 0.1610 0.6688 0.2361
O8 0.1669 0.4838 0.7370
```

---

This entry pairs a crystal structure of Li4Ti2Co3Ni3O16 with its simulated powder X-ray diffraction pattern. Radiation: CuKα. Structure: a DFT-relaxed cell (GGA+U, the Materials Project).
Peak positions follow from Bragg's law for the DFT cell and can differ from measured ones.

Top 10 peaks for 10 to 80 degrees two-theta, by angle:
h k l  Position (°2θ)  I (rel.)
0 0 2  18.90  100
1 1 -1  20.04  37
1 1 1  20.41  31
4 0 -1  36.13  26
4 0 1  36.94  46
2 2 -1  37.25  26
2 2 1  37.68  24
2 2 -3  46.15  26
2 2 3  47.22  24
6 2 0  63.82  31

Structural model:
```
data_Li4Ti2Co3Ni3O16
_chemical_formula_sum 'Li8 Ti4 Co6 Ni6 O32'
_symmetry_space_group_name_H-M 'C 1 m 1'
_symmetry_Int_Tables_number 8
_cell_length_a 10.204
_cell_length_b 5.687
_cell_length_c 9.402
_cell_angle_alpha 90.00
_cell_angle_beta 92.61
_cell_angle_gamma 90.00
loop_
_symmetry_equiv_pos_as_xyz
'x,y,z'
'x,-y,z'
'x+1/2,y+1/2,z'
'x+1/2,-y+1/2,z'
loop_
_atom_site_label
_atom_site_fract_x
_atom_site_fract_y
_atom_site_fract_z
Li1 0.000 0.000 0.000
Li2 0.005 0.000 0.502
Li3 0.172 0.500 0.103
Li4 0.346 0.000 0.600
Ti1 0.174 0.500 0.501
Ti2 0.335 0.000 0.001
Co1 0.333 0.500 0.780
Co2 0.416 0.245 0.280
Ni1 0.089 0.253 0.783
Ni2 0.172 0.000 0.285
O1 0.029 0.500 0.658
O2 0.080 0.256 0.405
O3 0.164 0.000 0.905
O4 0.176 0.500 0.882
O5 0.255 0.281 0.655
O6 0.274 0.229 0.156
O7 0.339 0.500 0.392
O8 0.351 0.000 0.386
O9 0.411 0.253 0.898
O10 0.486 0.000 0.163
O11 0.493 0.500 0.191
O12 0.497 0.500 0.692
```

---

This entry pairs a crystal structure of Li2TiCr3O8 with its simulated powder X-ray diffraction pattern. Radiation: CuKα. Structure: a DFT-relaxed cell (GGA+U, the Materials Project).
Peak positions follow from Bragg's law for the DFT cell and can differ from measured ones.

Top 10 peaks for 10 to 80 degrees two-theta, by angle:
h k l  Position (°2θ)  I (rel.)
0 2 1  18.22  100
2 0 1  18.33  92
2 4 1  35.28  30
2 0 3  35.48  59
4 4 0  42.97  74
0 0 4  43.16  36
4 6 1  56.73  14
6 4 1  56.94  11
0 2 5  57.07  13
4 4 4  62.54  43

Structural model:
```
data_Li2TiCr3O8
_chemical_formula_sum 'Li16 Ti8 Cr24 O64'
_symmetry_space_group_name_H-M 'C 2 2 21'
_symmetry_Int_Tables_number 20
_cell_length_a 11.853
_cell_length_b 11.960
_cell_length_c 8.383
_cell_angle_alpha 90.00
_cell_angle_beta 90.00
_cell_angle_gamma 90.00
loop_
_symmetry_equiv_pos_as_xyz
'x,y,z'
'-x,-y,z+1/2'
'x,-y,-z'
'-x,y,-z+1/2'
'x+1/2,y+1/2,z'
'-x+1/2,-y+1/2,z+1/2'
'x+1/2,-y+1/2,-z'
'-x+1/2,y+1/2,-z+1/2'
loop_
_atom_site_label
_atom_site_fract_x
_atom_site_fract_y
_atom_site_fract_z
Li1 0.123 0.127 0.375
Li2 0.127 0.374 0.620
Ti1 0.000 0.124 0.750
Ti2 0.123 0.500 0.000
Cr1 0.000 0.376 0.250
Cr2 0.127 0.000 0.000
Cr3 0.128 0.251 0.998
Cr4 0.250 0.126 0.750
O1 0.013 0.126 0.985
O2 0.015 0.378 0.009
O3 0.124 0.014 0.757
O4 0.126 0.237 0.758
O5 0.128 0.264 0.238
O6 0.130 0.490 0.238
O7 0.240 0.125 0.981
O8 0.242 0.380 0.019
```

---

This entry pairs a crystal structure of Mn6O5F7 with its simulated powder X-ray diffraction pattern. Radiation: CuKα. Structure: a DFT-relaxed cell (GGA+U, the Materials Project).
Peak positions follow from Bragg's law for the DFT cell and can differ from measured ones.

Top 10 peaks for 10 to 80 degrees two-theta, by angle:
h k l  Position (°2θ)  I (rel.)
1 1 0  23.68  100
1 -1 0  25.05  84
1 1 3  29.15  92
1 1 -3  29.53  84
1 -1 3  30.42  82
-1 1 3  30.53  76
2 2 3  51.49  39
2 0 6  52.02  41
2 0 -6  52.60  61
0 2 -9  62.89  40

Structural model:
```
data_Mn6O5F7
_chemical_formula_sum 'Mn12 O10 F14'
_symmetry_space_group_name_H-M 'P 1'
_symmetry_Int_Tables_number 1
_cell_length_a 4.738
_cell_length_b 5.756
_cell_length_c 15.578
_cell_angle_alpha 89.55
_cell_angle_beta 89.35
_cell_angle_gamma 86.75
loop_
_symmetry_equiv_pos_as_xyz
'x,y,z'
loop_
_atom_site_label
_atom_site_fract_x
_atom_site_fract_y
_atom_site_fract_z
Mn1 0.000 0.000 0.000
Mn2 0.001 0.004 0.329
Mn3 0.015 0.306 0.824
Mn4 0.421 0.486 0.326
Mn5 0.435 0.804 0.833
Mn6 0.449 0.815 0.168
Mn7 0.457 0.512 0.666
Mn8 0.483 0.838 0.501
Mn9 0.500 0.495 0.998
Mn10 0.974 0.273 0.498
Mn11 0.976 0.288 0.159
Mn12 0.991 0.986 0.663
O1 0.174 0.258 0.269
O2 0.195 0.036 0.434
O3 0.199 0.036 0.771
O4 0.202 0.031 0.108
O5 0.240 0.770 0.273
O6 0.255 0.535 0.774
O7 0.263 0.764 0.944
O8 0.264 0.770 0.610
O9 0.771 0.263 0.052
O10 0.781 0.033 0.556
F1 0.217 0.518 0.447
F2 0.228 0.265 0.607
F3 0.244 0.264 0.938
F4 0.248 0.534 0.107
F5 0.700 0.529 0.213
F6 0.703 0.769 0.062
F7 0.703 0.780 0.731
F8 0.708 0.762 0.386
F9 0.712 0.522 0.556
F10 0.716 0.256 0.382
F11 0.736 0.537 0.884
F12 0.739 0.018 0.228
F13 0.740 0.271 0.714
F14 0.770 0.045 0.890
```

---

This entry pairs a crystal structure of SrVPO6 with its simulated powder X-ray diffraction pattern. Radiation: CuKα. Structure: a DFT-relaxed cell (GGA+U, the Materials Project).
Peak positions follow from Bragg's law for the DFT cell and can differ from measured ones.

Top 10 peaks for 10 to 80 degrees two-theta, by angle:
h k l  Position (°2θ)  I (rel.)
1 1 1  21.16  62
1 2 0  23.98  33
1 2 -1  25.97  73
1 0 2  26.51  100
1 1 -2  27.30  94
1 3 0  31.47  48
2 1 0  33.16  43
0 2 3  36.29  37
1 4 -1  41.14  41
0 1 4  43.12  31

Structural model:
```
data_SrVPO6
_chemical_formula_sum 'Sr4 V4 P4 O24'
_symmetry_space_group_name_H-M 'P 1 21/c 1'
_symmetry_Int_Tables_number 14
_cell_length_a 5.619
_cell_length_b 9.887
_cell_length_c 8.590
_cell_angle_alpha 90.00
_cell_angle_beta 91.73
_cell_angle_gamma 90.00
loop_
_symmetry_equiv_pos_as_xyz
'x,y,z'
'-x,-y,-z'
'-x,y+1/2,-z+1/2'
'x,-y+1/2,z+1/2'
loop_
_atom_site_label
_atom_site_fract_x
_atom_site_fract_y
_atom_site_fract_z
Sr1 0.138 0.188 0.429
V1 0.345 0.591 0.412
P1 0.336 0.606 0.786
O1 0.086 0.637 0.328
O2 0.124 0.575 0.886
O3 0.253 0.659 0.620
O4 0.318 0.077 0.966
O5 0.474 0.032 0.271
O6 0.495 0.215 0.639
```

---

This entry pairs a crystal structure of GdY3Fe4O12 with its simulated powder X-ray diffraction pattern. Radiation: CuKα. Structure: a DFT-relaxed cell (GGA+U, the Materials Project).
Peak positions follow from Bragg's law for the DFT cell and can differ from measured ones.

Top 10 peaks for 10 to 80 degrees two-theta, by angle:
h k l  Position (°2θ)  I (rel.)
1 1 -1  25.63  19
0 0 2  31.61  20
1 2 1  32.66  100
2 0 0  33.46  23
2 0 2  46.69  20
0 4 0  47.01  15
2 1 -2  48.24  12
1 1 -3  52.78  16
2 4 0  58.93  12
3 2 1  59.30  23

Structural model:
```
data_GdY3Fe4O12
_chemical_formula_sum 'Gd1 Y3 Fe4 O12'
_symmetry_space_group_name_H-M 'P 1 m 1'
_symmetry_Int_Tables_number 6
_cell_length_a 5.357
_cell_length_b 7.731
_cell_length_c 5.661
_cell_angle_alpha 90.00
_cell_angle_beta 90.04
_cell_angle_gamma 90.00
loop_
_symmetry_equiv_pos_as_xyz
'x,y,z'
'x,-y,z'
loop_
_atom_site_label
_atom_site_fract_x
_atom_site_fract_y
_atom_site_fract_z
Gd1 0.000 0.000 0.000
Y1 0.036 0.500 0.865
Y2 0.500 0.500 0.366
Y3 0.536 0.000 0.501
Fe1 0.018 0.250 0.433
Fe2 0.517 0.251 0.934
O1 0.132 0.000 0.396
O2 0.210 0.310 0.128
O3 0.325 0.309 0.628
O4 0.409 0.000 0.892
O5 0.633 0.500 0.976
O6 0.708 0.193 0.241
O7 0.824 0.193 0.738
O8 0.903 0.500 0.475
```